Structure and simulated X-ray powder pattern of K3TeF8 (DFT lattice parameters and positions (PBE); Cu Kα (weighted mean of Kα1 and Kα2)).
Intensities are scaled so that the largest is 100.

abc: 7.1902 7.1902 7.1902
angles: 131.12 131.12 71.62
Element x y z (fractional)
K 0.0000 0.0000 0.0000
K 0.2500 0.7500 0.5000
K 0.7500 0.2500 0.5000
Te 0.5000 0.5000 0.0000
F 0.1876 0.1876 0.5864
F 0.1876 0.6012 0.0000
F 0.3988 0.3988 0.5864
F 0.3988 0.8124 0.0000
F 0.6012 0.1876 0.0000
F 0.6012 0.6012 0.4136
F 0.8124 0.3988 0.0000
F 0.8124 0.8124 0.4136

Largest 10 diffraction maxima, by angle, 2θ = 15–90°:
2θ/deg, I_rel
15.2, 21
16.7, 62
21.1, 12
26.1, 100
43.0, 25
43.5, 50
51.0, 26
51.8, 16
69.5, 13
79.1, 10

Structure and simulated X-ray powder pattern of Ce3Ge2Ru (DFT lattice parameters and positions (PBE); Cu Kα (weighted mean of Kα1 and Kα2)).
Intensities are scaled so that the largest is 100.

abc: 12.1207 4.4188 10.4278
angles: 90.00 90.00 90.00
Element x y z (fractional)
Ce 0.0484 0.2500 0.1005
Ce 0.1227 0.7500 0.5562
Ce 0.2412 0.2500 0.7834
Ce 0.2588 0.7500 0.2834
Ce 0.3773 0.2500 0.0562
Ce 0.4516 0.7500 0.6005
Ce 0.5484 0.2500 0.3995
Ce 0.6227 0.7500 0.9438
Ce 0.7412 0.2500 0.7166
Ce 0.7588 0.7500 0.2166
Ce 0.8773 0.2500 0.4438
Ce 0.9516 0.7500 0.8995
Ge 0.0021 0.7500 0.2953
Ge 0.2044 0.7500 0.9877
Ge 0.2956 0.2500 0.4877
Ge 0.4979 0.2500 0.7953
Ge 0.5021 0.7500 0.2047
Ge 0.7044 0.7500 0.5123
Ge 0.7956 0.2500 0.0123
Ge 0.9979 0.2500 0.7047
Ru 0.1108 0.2500 0.3498
Ru 0.3892 0.7500 0.8498
Ru 0.6108 0.2500 0.1502
Ru 0.8892 0.7500 0.6502

Largest 10 diffraction maxima, by angle, 2θ = 15–90°:
2θ/deg, I_rel
26.4, 33
30.3, 31
31.2, 25
32.8, 100
34.7, 43
35.2, 22
37.0, 60
39.8, 28
40.8, 58
46.1, 27

Structure and simulated X-ray powder pattern of Sb5Se3 (DFT lattice parameters and positions (PBE); Cu Kα (weighted mean of Kα1 and Kα2)).
Intensities are scaled so that the largest is 100.

abc: 6.1305 6.1305 5.5295
angles: 90.00 90.00 105.57
Element x y z (fractional)
Sb 0.0000 0.0000 0.0000
Sb 0.0000 0.5000 0.0000
Sb 0.2349 0.2349 0.5000
Sb 0.5000 0.0000 0.0000
Sb 0.7651 0.7651 0.5000
Se 0.2582 0.7418 0.5000
Se 0.5000 0.5000 0.0000
Se 0.7418 0.2582 0.5000

Largest 10 diffraction maxima, by angle, 2θ = 15–90°:
2θ/deg, I_rel
32.4, 30
34.4, 100
36.8, 21
49.1, 9
49.8, 17
59.1, 21
60.1, 9
63.0, 9
64.8, 15
72.6, 11

Structure and simulated X-ray powder pattern of SmTm6In6 (DFT lattice parameters and positions (PBE); Cu Kα (weighted mean of Kα1 and Kα2)).
Intensities are scaled so that the largest is 100.

abc: 6.1932 6.1932 10.6656
angles: 90.00 90.00 120.00
Element x y z (fractional)
Sm 0.0000 0.0000 0.0000
Tm 0.0000 0.0000 0.3426
Tm 0.0000 0.0000 0.6574
Tm 0.3333 0.6667 0.0000
Tm 0.3333 0.6667 0.5000
Tm 0.6667 0.3333 0.0000
Tm 0.6667 0.3333 0.5000
In 0.0000 0.5000 0.2454
In 0.0000 0.5000 0.7546
In 0.5000 0.0000 0.2454
In 0.5000 0.0000 0.7546
In 0.5000 0.5000 0.2454
In 0.5000 0.5000 0.7546

Largest 10 diffraction maxima, by angle, 2θ = 15–90°:
2θ/deg, I_rel
28.8, 51
30.2, 27
33.4, 100
33.6, 23
37.5, 63
37.7, 25
54.1, 18
59.7, 27
60.0, 29
72.8, 16

Structure and simulated X-ray powder pattern of Pr2Si2HIr2 (DFT lattice parameters and positions (PBE); Cu Kα (weighted mean of Kα1 and Kα2)).
Intensities are scaled so that the largest is 100.

abc: 5.8560 5.8560 7.0850
angles: 127.09 127.09 42.08
Element x y z (fractional)
Pr 0.0655 0.0655 0.2948
Pr 0.9345 0.9345 0.7052
Si 0.3484 0.3484 0.2891
Si 0.6516 0.6516 0.7109
H 0.5000 0.5000 0.0000
Ir 0.2845 0.2845 0.8861
Ir 0.7155 0.7155 0.1139

Largest 10 diffraction maxima, by angle, 2θ = 15–90°:
2θ/deg, I_rel
16.4, 29
24.6, 25
32.8, 100
33.2, 25
34.6, 49
34.8, 100
39.7, 43
43.0, 34
56.4, 35
60.0, 26

Structure and simulated X-ray powder pattern of Sr4Th3SiN8 (DFT lattice parameters and positions (PBE); Cu Kα (weighted mean of Kα1 and Kα2)).
Intensities are scaled so that the largest is 100.

abc: 7.3900 7.3900 7.2098
angles: 117.96 117.96 56.88
Element x y z (fractional)
Sr 0.0000 0.0000 0.0000
Sr 0.0000 0.5000 0.0000
Sr 0.5000 0.0000 0.0000
Sr 0.5000 0.5000 0.0000
Th 0.0000 0.0000 0.5000
Th 0.0000 0.5000 0.5000
Th 0.5000 0.0000 0.5000
Si 0.5000 0.5000 0.5000
N 0.2185 0.2185 0.2483
N 0.2257 0.2257 0.7087
N 0.2801 0.6888 0.6760
N 0.3112 0.7199 0.3240
N 0.6888 0.2801 0.6760
N 0.7199 0.3112 0.3240
N 0.7743 0.7743 0.2913
N 0.7815 0.7815 0.7517

Largest 10 diffraction maxima, by angle, 2θ = 15–90°:
2θ/deg, I_rel
29.3, 60
30.0, 51
30.2, 100
32.6, 59
35.7, 92
48.6, 36
49.5, 35
56.6, 19
59.7, 17
62.7, 17

Copy entry 5 word for word.
Structure and simulated X-ray powder pattern of Pr2Si2HIr2 (DFT lattice parameters and positions (PBE); Cu Kα (weighted mean of Kα1 and Kα2)).
Intensities are scaled so that the largest is 100.

abc: 5.8560 5.8560 7.0850
angles: 127.09 127.09 42.08
Element x y z (fractional)
Pr 0.0655 0.0655 0.2948
Pr 0.9345 0.9345 0.7052
Si 0.3484 0.3484 0.2891
Si 0.6516 0.6516 0.7109
H 0.5000 0.5000 0.0000
Ir 0.2845 0.2845 0.8861
Ir 0.7155 0.7155 0.1139

Largest 10 diffraction maxima, by angle, 2θ = 15–90°:
2θ/deg, I_rel
16.4, 29
24.6, 25
32.8, 100
33.2, 25
34.6, 49
34.8, 100
39.7, 43
43.0, 34
56.4, 35
60.0, 26